# Sc2IrRh
Simulated XRD peak list, Cu Ka. Input: the GGA-PBE geometry in the Materials Project.
Neutral-atom scattering factors, no anomalous dispersion.

Largest 10 diffraction maxima, low angle first, 2θ = 10–90°:
hkl  2θ (°)  Rel. int.
1 1 1  23.82  11
2 0 0  27.57  36
2 2 0  39.38  100
3 1 1  46.55  6
2 2 2  48.75  11
4 0 0  56.92  17
3 3 1  62.57  3
4 2 0  64.39  15
4 2 2  71.41  33
4 4 0  84.74  11

Crystal structure
a b c (Å): 6.471 6.471 6.471
angles (deg): 90.00 90.00 90.00
Space group Fm-3m (No. 225)
One atom of each set of equivalent atoms:
Sc1 0.250 0.250 0.250 x8
Ir1 0.000 0.000 0.000 x4
Rh1 0.000 0.000 0.500 x4

=====

# Sr4As3
Simulated XRD peak list, Cu Ka. Input: the GGA-PBE geometry in the Materials Project.
Neutral-atom scattering factors, no anomalous dispersion.

Largest 10 diffraction maxima, low angle first, 2θ = 10–90°:
hkl  2θ (°)  Rel. int.
3 2 1  27.00  34
3 1 2  27.98  35
0 4 1  28.80  31
2 3 2  30.06  100
2 2 3  31.52  49
0 4 2  32.07  40
4 2 0  32.28  55
0 0 4  32.41  44
1 4 2  32.91  62
4 1 2  34.11  41

Crystal structure
a b c (Å): 12.285 12.935 11.051
angles (deg): 90.00 90.00 90.00
Space group Pbam (No. 55)
One atom of each set of equivalent atoms:
Sr1 0.000 0.000 0.182 x4
Sr2 0.096 0.264 0.276 x8
Sr3 0.103 0.706 0.000 x4
Sr4 0.123 0.868 0.500 x4
Sr5 0.174 0.567 0.323 x8
Sr6 0.226 0.423 0.000 x4
As1 0.000 0.500 0.117 x4
As2 0.038 0.408 0.500 x4
As3 0.136 0.114 0.500 x4
As4 0.140 0.142 0.000 x4
As5 0.162 0.823 0.234 x8

=====

# CdCu2
Simulated XRD peak list, Cu Ka. Input: the GGA-PBE geometry in the Materials Project.
Neutral-atom scattering factors, no anomalous dispersion.

Largest 10 diffraction maxima, low angle first, 2θ = 10–90°:
hkl  2θ (°)  Rel. int.
1 1 0  35.43  48
1 0 3  39.48  79
2 0 0  41.14  13
1 1 2  42.20  100
2 0 1  42.73  68
2 1 3  66.33  30
3 0 2  68.25  22
2 0 5  73.10  26
2 2 0  74.97  23
3 1 3  88.21  17

Crystal structure
a b c (Å): 5.0672 5.0672 8.0165
angles (deg): 90.00 90.00 120.00
Space group P6_3/mmc (No. 194)
One atom of each set of equivalent atoms:
Cd1 0.3333 0.6667 0.0616 x4
Cu1 0.0000 0.0000 0.0000 x2
Cu2 0.1690 0.3380 0.7500 x6

=====

# Na4MgSi2GeSO12
Simulated XRD peak list, Cu Ka. Input: the GGA-PBE geometry in the Materials Project.
Neutral-atom scattering factors, no anomalous dispersion.

Largest 10 diffraction maxima, low angle first, 2θ = 10–90°:
hkl  2θ (°)  Rel. int.
1 1 -1  13.71  30
2 0 -2  19.44  24
3 1 -1  19.96  52
2 2 -1  22.94  51
4 0 -2  24.31  29
3 1 -3  30.93  100
4 2 -2  31.32  48
5 1 -1  32.30  46
1 3 1  34.28  47
2 2 -4  46.87  35

Crystal structure
a b c (Å): 15.281 9.139 9.130
angles (deg): 90.00 126.48 90.00
Space group Cc (No. 9)
One atom of each set of equivalent atoms:
Na1 0.000 0.063 0.000 x4
Na2 0.066 0.256 0.383 x4
Na3 0.131 0.430 0.771 x4
Na4 0.333 0.118 0.648 x4
Mg1 0.426 0.249 0.039 x4
Si1 0.329 0.454 0.639 x4
Si2 0.472 0.107 0.426 x4
Ge1 0.228 0.285 0.253 x4
S1 0.178 0.103 0.849 x4
O1 0.075 0.301 0.118 x4
O2 0.085 0.170 0.678 x4
O3 0.172 0.061 0.325 x4
O4 0.178 0.127 0.012 x4
O5 0.237 0.352 0.453 x4
O6 0.240 0.445 0.152 x4
O7 0.274 0.167 0.875 x4
O8 0.361 0.191 0.397 x4
O9 0.400 0.443 0.108 x4
O10 0.402 0.346 0.811 x4
O11 0.471 0.131 0.253 x4
O12 0.479 0.067 0.967 x4

=====

# Mg16Al12Ag
Simulated XRD peak list, Cu Ka. Input: the GGA-PBE geometry in the Materials Project.
Neutral-atom scattering factors, no anomalous dispersion.

Largest 10 diffraction maxima, low angle first, 2θ = 10–90°:
hkl  2θ (°)  Rel. int.
1 0 1  11.81  33
1 1 0  11.99  45
4 1 0  32.06  18
0 4 2  34.11  32
3 0 3  35.96  85
2 3 2  36.28  69
0 5 1  36.49  100
5 1 1  40.48  46
0 2 4  41.54  17
3 5 4  65.10  21

Crystal structure
a b c (Å): 14.7605 14.7605 9.2462
angles (deg): 90.00 90.00 120.00
Space group R3m (No. 160, hexagonal axes)
One atom of each set of equivalent atoms:
Mg1 0.0000 0.0000 0.0000 x3
Mg2 0.0134 0.3061 0.3011 x18
Mg3 0.0677 0.5338 0.2142 x9
Mg4 0.1957 0.0978 0.5044 x9
Mg5 0.2174 0.4349 0.7774 x9
Al1 0.9998 0.1840 0.8141 x18
Al2 0.0625 0.1250 0.2915 x9
Al3 0.0831 0.5416 0.7234 x9
Ag1 0.0000 0.0000 0.6932 x3

=====

# V12P7
Simulated XRD peak list, Cu Ka. Input: the GGA-PBE geometry in the Materials Project.
Neutral-atom scattering factors, no anomalous dispersion.

Largest 10 diffraction maxima, low angle first, 2θ = 10–90°:
hkl  2θ (°)  Rel. int.
2 2 0  38.67  17
1 3 0  40.32  22
1 2 1  40.73  100
3 0 1  43.85  28
2 2 1  48.21  14
1 3 1  49.60  12
4 1 0  51.96  22
0 0 2  57.14  16
2 5 1  80.04  13
4 1 2  80.86  11

Crystal structure
a b c (Å): 9.3130 9.3130 3.2241
angles (deg): 90.00 90.00 120.00
Space group P-6 (No. 174)
One atom of each set of equivalent atoms:
V1 0.0066 0.2054 0.0000 x3
V2 0.1323 0.6215 0.0000 x3
V3 0.2651 0.2517 0.5000 x3
V4 0.5027 0.1290 0.5000 x3
P1 0.0000 0.0000 0.5000 x1
P2 0.1587 0.4427 0.5000 x3
P3 0.4625 0.2912 0.0000 x3

=====

# TbIn3
Simulated XRD peak list, Cu Ka. Input: the GGA-PBE geometry in the Materials Project.
Neutral-atom scattering factors, no anomalous dispersion.

Largest 10 diffraction maxima, low angle first, 2θ = 10–90°:
hkl  2θ (°)  Rel. int.
1 0 0  19.03  2
1 1 0  27.04  2
1 1 1  33.28  100
2 0 0  38.62  50
2 1 0  43.39  1
2 1 1  47.78  1
2 2 0  55.76  33
3 1 1  66.51  39
2 2 2  69.88  11
4 0 0  82.80  5

Crystal structure
a b c (Å): 4.663 4.663 4.663
angles (deg): 90.00 90.00 90.00
Space group Pm-3m (No. 221)
One atom of each set of equivalent atoms:
Tb1 0.000 0.000 0.000 x1
In1 0.000 0.500 0.500 x3

=====

# Ba2TmNbO6
Simulated XRD peak list, Cu Ka. Input: the GGA-PBE geometry in the Materials Project.
Neutral-atom scattering factors, no anomalous dispersion.

Largest 10 diffraction maxima, low angle first, 2θ = 10–90°:
hkl  2θ (°)  Rel. int.
1 1 1  18.08  3
2 2 0  29.74  100
3 1 1  35.02  3
4 0 0  42.56  30
3 3 1  46.59  2
4 2 2  52.78  41
4 4 0  61.75  19
6 2 0  70.03  18
4 4 4  77.89  6
6 4 2  85.52  22

Crystal structure
a b c (Å): 8.498 8.498 8.498
angles (deg): 90.00 90.00 90.00
Space group Fm-3m (No. 225)
One atom of each set of equivalent atoms:
Ba1 0.250 0.250 0.250 x8
Tm1 0.000 0.000 0.000 x4
Nb1 0.000 0.000 0.500 x4
O1 0.000 0.000 0.261 x24